No. 1
Computed powder diffractogram of KNdTi4O12 for Cu Kα, from a cell relaxed with PBE.
Intensities are scaled so that the largest is 100.

Crystal structure
```
data_KNdTi4O12
_chemical_formula_sum 'K2 Nd2 Ti8 O24'
_cell_length_a 7.860
_cell_length_b 7.768
_cell_length_c 7.760
_cell_angle_alpha 90.00
_cell_angle_beta 90.00
_cell_angle_gamma 90.00
_space_group_name_H-M_alt 'A m m 2'
_space_group_IT_number 38
loop_
_space_group_symop_operation_xyz
'x,y,z'
'-x,-y,z'
'-x,y,z'
'x,-y,z'
'x,y+1/2,z+1/2'
'-x,-y+1/2,z+1/2'
'-x,y+1/2,z+1/2'
'x,-y+1/2,z+1/2'
loop_
_atom_site_label
_atom_site_fract_x
_atom_site_fract_y
_atom_site_fract_z
K1 0.000 0.000 0.000
Nd1 0.500 0.000 0.516
Ti1 0.240 0.246 0.257
O1 0.000 0.241 0.257
O2 0.259 0.000 0.745
O3 0.271 0.246 0.506
O4 0.279 0.000 0.268
O5 0.500 0.236 0.752
```

Largest 8 diffraction maxima, low angle first, 2θ from 10° to 90°:
Position (°2θ)	intensity	h k l
11.26	28	1 0 0
16.14	26	0 1 1
19.72	100	1 1 1
32.42	77	2 2 0
32.62	38	0 2 2
38.41	34	1 3 1
46.80	43	0 4 0
58.08	28	2 4 2

***

No. 2
Computed powder diffractogram of La2Th8O19 for Cu Kα, from a cell relaxed with PBE.
Intensities are scaled so that the largest is 100.

Crystal structure
```
data_La2Th8O19
_chemical_formula_sum 'La2 Th8 O19'
_cell_length_a 3.980
_cell_length_b 3.980
_cell_length_c 28.238
_cell_angle_alpha 90.00
_cell_angle_beta 90.00
_cell_angle_gamma 90.00
_space_group_name_H-M_alt 'P -4 m 2'
_space_group_IT_number 115
loop_
_space_group_symop_operation_xyz
'x,y,z'
'y,-x,-z'
'-x,-y,z'
'-y,x,-z'
'-x,y,z'
'-y,-x,-z'
'x,-y,z'
'y,x,-z'
loop_
_atom_site_label
_atom_site_fract_x
_atom_site_fract_y
_atom_site_fract_z
La1 0.000 0.500 0.056
Th1 0.000 0.500 0.250
Th2 0.000 0.500 0.450
Th3 0.000 0.500 0.650
Th4 0.000 0.500 0.849
O1 0.000 0.000 0.000
O2 0.000 0.000 0.105
O3 0.000 0.000 0.202
O4 0.000 0.000 0.300
O5 0.000 0.000 0.400
O6 0.000 0.000 0.500
O7 0.500 0.500 0.098
O8 0.500 0.500 0.199
O9 0.500 0.500 0.299
O10 0.500 0.500 0.400
O11 0.500 0.500 0.500
```

Largest 8 diffraction maxima, low angle first, 2θ from 10° to 90°:
Position (°2θ)	intensity	h k l
27.41	100	1 0 5
31.69	12	0 0 10
31.79	24	1 1 0
45.53	50	2 0 0
53.87	15	1 0 15
54.01	32	2 1 5
73.17	13	2 1 15
84.22	11	3 1 10

***

No. 3
Computed powder diffractogram of Li3Cu4SnO8 for Cu Kα, from a cell relaxed with PBE.
Intensities are scaled so that the largest is 100.

Crystal structure
```
data_Li3Cu4SnO8
_chemical_formula_sum 'Li6 Cu8 Sn2 O16'
_cell_length_a 11.059
_cell_length_b 5.816
_cell_length_c 5.827
_cell_angle_alpha 90.00
_cell_angle_beta 121.15
_cell_angle_gamma 90.00
_space_group_name_H-M_alt 'C 1 2/m 1'
_space_group_IT_number 12
loop_
_space_group_symop_operation_xyz
'x,y,z'
'-x,-y,-z'
'-x,y,-z'
'x,-y,z'
'x+1/2,y+1/2,z'
'-x+1/2,-y+1/2,-z'
'-x+1/2,y+1/2,-z'
'x+1/2,-y+1/2,z'
loop_
_atom_site_label
_atom_site_fract_x
_atom_site_fract_y
_atom_site_fract_z
Li1 0.000 0.000 0.000
Li2 0.250 0.250 0.500
Cu1 0.000 0.000 0.500
Cu2 0.000 0.500 0.000
Cu3 0.250 0.250 0.000
Sn1 0.000 0.500 0.500
O1 0.025 0.266 0.259
O2 0.204 0.000 0.742
O3 0.226 0.500 0.756
```

Largest 8 diffraction maxima, low angle first, 2θ from 10° to 90°:
Position (°2θ)	intensity	h k l
17.95	100	2 0 -1
35.73	27	0 2 1
36.26	32	2 2 0
36.40	18	4 0 -2
38.03	42	4 0 0
44.00	60	2 2 -2
59.28	22	2 2 2
59.79	18	6 2 -2

***

No. 4
Computed powder diffractogram of NbMo6S8 for Cu Kα, from a cell relaxed with PBE.
Intensities are scaled so that the largest is 100.

Crystal structure
```
data_NbMo6S8
_chemical_formula_sum 'Nb3 Mo18 S24'
_cell_length_a 9.0318
_cell_length_b 9.0318
_cell_length_c 11.0516
_cell_angle_alpha 90.00
_cell_angle_beta 90.00
_cell_angle_gamma 120.00
_space_group_name_H-M_alt 'R -3'
_space_group_IT_number 148
_space_group_name_Hall '-R 3'
loop_
_atom_site_label
_atom_site_fract_x
_atom_site_fract_y
_atom_site_fract_z
Nb1 0.0000 0.0000 0.0000
Mo1 0.0233 0.1817 0.3978
S1 0.0000 0.0000 0.2295
S2 0.0122 0.6185 0.7491
```

Largest 8 diffraction maxima, low angle first, 2θ from 10° to 90°:
Position (°2θ)	intensity	h k l
13.87	86	1 0 1
19.66	46	0 1 2
24.15	31	0 0 3
31.32	39	3 -1 1
34.41	69	3 -2 2
42.48	100	4 -3 1
44.90	62	2 1 4
47.21	57	2 2 3

***

No. 5
Computed powder diffractogram of Pu2InPt2 for Cu Kα, from a cell relaxed with PBE.
Intensities are scaled so that the largest is 100.

Crystal structure
```
data_Pu2InPt2
_chemical_formula_sum 'Pu4 In2 Pt4'
_cell_length_a 7.915
_cell_length_b 7.915
_cell_length_c 3.761
_cell_angle_alpha 90.00
_cell_angle_beta 90.00
_cell_angle_gamma 90.00
_space_group_name_H-M_alt 'P 4/m b m'
_space_group_IT_number 127
_space_group_name_Hall '-P 4 2ab'
loop_
_atom_site_label
_atom_site_fract_x
_atom_site_fract_y
_atom_site_fract_z
Pu1 0.168 0.332 0.000
In1 0.000 0.000 0.500
Pt1 0.134 0.634 0.500
```

Largest 8 diffraction maxima, low angle first, 2θ from 10° to 90°:
Position (°2θ)	intensity	h k l
15.83	11	1 1 0
32.85	15	2 0 1
34.81	100	2 1 1
35.88	36	3 1 0
48.41	12	0 0 2
53.60	13	4 1 1
61.70	15	3 1 2
68.55	16	5 2 1

***

No. 6
Computed powder diffractogram of CdBi8Br10O8 for Cu Kα, from a cell relaxed with PBE.
Intensities are scaled so that the largest is 100.

Crystal structure
```
data_CdBi8Br10O8
_chemical_formula_sum 'Cd2 Bi16 Br20 O16'
_cell_length_a 5.584
_cell_length_b 40.976
_cell_length_c 5.583
_cell_angle_alpha 90.00
_cell_angle_beta 90.00
_cell_angle_gamma 90.00
_space_group_name_H-M_alt 'C m m m'
_space_group_IT_number 65
_space_group_name_Hall '-C 2 2'
loop_
_atom_site_label
_atom_site_fract_x
_atom_site_fract_y
_atom_site_fract_z
Cd1 0.000 0.000 0.000
Bi1 0.000 0.115 0.500
Bi2 0.000 0.177 0.000
Bi3 0.000 0.324 0.500
Bi4 0.000 0.385 0.000
Br1 0.000 0.000 0.500
Br2 0.000 0.075 0.000
Br3 0.000 0.215 0.500
Br4 0.000 0.285 0.000
Br5 0.000 0.423 0.500
Br6 0.000 0.500 0.000
O1 0.249 0.146 0.249
```

Largest 8 diffraction maxima, low angle first, 2θ from 10° to 90°:
Position (°2θ)	intensity	h k l
25.04	22	1 5 1
29.96	100	1 9 1
32.06	63	2 0 0
33.06	26	1 11 1
39.04	17	2 10 0
45.97	28	2 0 2
48.07	15	1 19 1
55.85	35	3 9 1

***

No. 7
Computed powder diffractogram of K3TlAu5 for Cu Kα, from a cell relaxed with PBE.
Intensities are scaled so that the largest is 100.

Crystal structure
```
data_K3TlAu5
_chemical_formula_sum 'K12 Tl4 Au20'
_cell_length_a 5.776
_cell_length_b 20.158
_cell_length_c 8.583
_cell_angle_alpha 90.00
_cell_angle_beta 90.00
_cell_angle_gamma 90.00
_space_group_name_H-M_alt 'I m m a'
_space_group_IT_number 74
_space_group_name_Hall '-I 2b 2'
loop_
_atom_site_label
_atom_site_fract_x
_atom_site_fract_y
_atom_site_fract_z
K1 0.000 0.086 0.119
K2 0.000 0.250 0.881
Tl1 0.000 0.250 0.334
Au1 0.000 0.000 0.500
Au2 0.000 0.144 0.543
Au3 0.250 0.060 0.750
```

Largest 8 diffraction maxima, low angle first, 2θ from 10° to 90°:
Position (°2θ)	intensity	h k l
16.76	87	0 3 1
18.51	100	1 0 1
29.13	29	1 3 2
32.55	29	1 6 1
33.89	40	0 6 2
37.54	37	2 0 2
38.61	45	0 5 3
39.80	37	2 5 1

***

No. 8
Computed powder diffractogram of Rb2GdCl5 for Cu Kα, from a cell relaxed with PBE.
Intensities are scaled so that the largest is 100.

Crystal structure
```
data_Rb2GdCl5
_chemical_formula_sum 'Rb8 Gd4 Cl20'
_cell_length_a 13.506
_cell_length_b 8.849
_cell_length_c 8.333
_cell_angle_alpha 90.00
_cell_angle_beta 90.00
_cell_angle_gamma 90.00
_space_group_name_H-M_alt 'P n m a'
_space_group_IT_number 62
loop_
_space_group_symop_operation_xyz
'x,y,z'
'-x,-y,-z'
'-x+1/2,-y,z+1/2'
'x+1/2,y,-z+1/2'
'x+1/2,-y+1/2,-z+1/2'
'-x+1/2,y+1/2,z+1/2'
'-x,y+1/2,-z'
'x,-y+1/2,z'
loop_
_atom_site_label
_atom_site_fract_x
_atom_site_fract_y
_atom_site_fract_z
Rb1 0.172 0.006 0.053
Gd1 0.003 0.250 0.570
Cl1 0.012 0.250 0.900
Cl2 0.071 0.541 0.657
Cl3 0.169 0.250 0.386
Cl4 0.192 0.750 0.346
```

Largest 8 diffraction maxima, low angle first, 2θ from 10° to 90°:
Position (°2θ)	intensity	h k l
12.48	58	1 0 1
21.33	45	0 0 2
22.45	100	3 0 1
23.70	97	1 2 1
24.05	60	2 2 0
30.23	96	1 2 2
32.36	62	2 2 2
40.60	66	5 2 1